For NaGdCoSe3, a crystal structure in OQMD, relaxed with GGA-PBE gives the calculated X-ray powder pattern in this record (a wavelength of 1.5418 Å).
Peak positions follow from Bragg's law for the DFT cell and can differ from measured ones.

The 10 most intense peaks (2θ = 15–90°), sorted by position:
d = 3.666 Å, rel. 49; d = 3.236 Å, rel. 75; d = 2.767 Å, rel. 64; d = 2.547 Å, rel. 96; d = 2.512 Å, rel. 95; d = 2.358 Å, rel. 100; d = 2.050 Å, rel. 67; d = 2.029 Å, rel. 46; d = 1.769 Å, rel. 38; d = 1.597 Å, rel. 37

Lattice parameters (Å, degrees): 11.271 4.100 11.925 90.00 90.00 90.00
Positions (direct):
Na 0.177 0.250 0.002
Na 0.323 0.750 0.502
Na 0.677 0.250 0.498
Na 0.823 0.750 0.998
Gd 0.018 0.250 0.316
Gd 0.482 0.750 0.816
Gd 0.518 0.250 0.184
Gd 0.982 0.750 0.684
Co 0.249 0.750 0.211
Co 0.251 0.250 0.711
Co 0.749 0.750 0.289
Co 0.751 0.250 0.789
Se 0.050 0.750 0.146
Se 0.112 0.250 0.561
Se 0.218 0.750 0.810
Se 0.282 0.250 0.310
Se 0.388 0.750 0.061
Se 0.450 0.250 0.646
Se 0.550 0.750 0.354
Se 0.612 0.250 0.939
Se 0.718 0.750 0.690
Se 0.782 0.250 0.190
Se 0.888 0.750 0.439
Se 0.950 0.250 0.854

=====

For NdGdCo2Sn4, a crystal structure in OQMD, relaxed with GGA-PBE gives the calculated X-ray powder pattern in this record (a wavelength of 1.5418 Å).
Peak positions follow from Bragg's law for the DFT cell and can differ from measured ones.

The 10 most intense peaks (2θ = 15–90°), sorted by position:
d = 2.802 Å, rel. 100; d = 2.511 Å, rel. 22; d = 2.255 Å, rel. 22; d = 2.215 Å, rel. 21; d = 1.835 Å, rel. 10; d = 1.661 Å, rel. 13; d = 1.580 Å, rel. 15; d = 1.423 Å, rel. 9; d = 1.386 Å, rel. 10; d = 1.367 Å, rel. 11

Lattice parameters (Å, degrees): 4.510 9.337 9.337 27.45 90.00 90.00
Positions (direct):
Nd 0.000 0.000 0.000
Gd 0.500 0.776 0.776
Co 0.000 0.207 0.207
Co 0.500 0.571 0.571
Sn 0.000 0.340 0.340
Sn 0.000 0.639 0.639
Sn 0.500 0.140 0.140
Sn 0.500 0.437 0.437

=====

For NdGdTlCo2, a crystal structure in OQMD, relaxed with GGA-PBE gives the calculated X-ray powder pattern in this record (a wavelength of 1.5418 Å).
Peak positions follow from Bragg's law for the DFT cell and can differ from measured ones.

The 10 most intense peaks (2θ = 15–90°), sorted by position:
d = 3.000 Å, rel. 49; d = 2.725 Å, rel. 100; d = 2.651 Å, rel. 77; d = 2.292 Å, rel. 31; d = 1.989 Å, rel. 31; d = 1.937 Å, rel. 20; d = 1.658 Å, rel. 18; d = 1.639 Å, rel. 17; d = 1.564 Å, rel. 31; d = 1.503 Å, rel. 16

Lattice parameters (Å, degrees): 3.980 7.367 7.367 30.49 90.00 90.00
Positions (direct):
Nd 0.000 0.000 0.000
Gd 0.000 0.724 0.724
Tl 0.500 0.360 0.360
Co 0.500 0.156 0.156
Co 0.500 0.575 0.575

=====

For Gd2ZnCoNi, a crystal structure in OQMD, relaxed with GGA-PBE gives the calculated X-ray powder pattern in this record (a wavelength of 1.5418 Å).
Peak positions follow from Bragg's law for the DFT cell and can differ from measured ones.

The 10 most intense peaks (2θ = 15–90°), sorted by position:
d = 3.305 Å, rel. 37; d = 2.748 Å, rel. 16; d = 2.577 Å, rel. 100; d = 2.454 Å, rel. 29; d = 2.286 Å, rel. 52; d = 2.205 Å, rel. 40; d = 2.068 Å, rel. 27; d = 1.581 Å, rel. 15; d = 1.533 Å, rel. 15; d = 1.336 Å, rel. 27

Lattice parameters (Å, degrees): 5.363 5.363 5.363 134.64 79.79 118.34
Positions (direct):
Gd 0.204 0.000 0.204
Gd 0.796 0.000 0.796
Zn 0.508 0.508 0.000
Co 0.779 0.279 0.500
Ni 0.229 0.729 0.500